No. 1
Starting from a DFT-relaxed cell (PBE, Alexandria), the X-ray diffraction stick pattern of La4Pm2PrTm was simulated for Cu Kα X-rays.

Structure:
```
La4Pm2PrTm
1.0
6.0786 0.0000 0.0000
0.0000 6.0787 0.0000
0.0000 0.0000 7.6677
La Pm Pr Tm
4 2 1 1
direct
0.0000 0.0000 0.2382
0.0000 0.0000 0.7618
0.5000 0.5000 0.2401
0.5000 0.5000 0.7599
0.0000 0.5000 0.0000
0.5000 0.0000 0.5000
0.0000 0.5000 0.5000
0.5000 0.0000 0.0000
```

Principal peaks in the range 2θ from 15° to 90°, sorted by position:
2θ/deg  d [Å]  I (rel.)
29.39  3.039  59
31.26  2.861  100
42.04  2.149  22
53.31  1.718  44
56.78  1.621  18
65.22  1.431  12
69.11  1.359  10
70.12  1.342  10
85.25  1.138  12
88.10  1.109  11


No. 2
Starting from a DFT-relaxed cell (PBE, Alexandria), the X-ray diffraction stick pattern of Li2La2ScTl2 was simulated for Cu Kα X-rays.

Structure:
```
Li2La2ScTl2
1.0
2.3884 1.3790 8.7667
-2.3884 1.3790 8.7667
0.0000 -2.7579 8.7667
Li La Sc Tl
2 2 1 2
direct
0.1110 0.1110 0.1110
0.8890 0.8890 0.8890
0.3655 0.3655 0.3655
0.6345 0.6345 0.6345
0.5000 0.5000 0.5000
0.2276 0.2276 0.2276
0.7724 0.7724 0.7724
```

Principal peaks in the range 2θ from 15° to 90°, sorted by position:
2θ/deg  d [Å]  I (rel.)
21.75  4.087  18
22.53  3.946  82
27.43  3.252  41
32.18  2.781  100
34.86  2.574  44
37.66  2.388  87
50.36  1.812  29
52.22  1.752  23
64.56  1.444  27
66.13  1.413  42


No. 3
Starting from a DFT-relaxed cell (PBE, Alexandria), the X-ray diffraction stick pattern of B7C5 was simulated for Cu Kα X-rays.

Structure:
```
B7C5
1.0
4.2219 0.0000 0.0000
0.0000 2.5701 0.0000
-0.3077 0.0000 7.9260
B C
7 5
direct
0.0000 0.0000 0.0000
0.0011 0.0000 0.7171
0.0364 0.0000 0.2905
0.3338 0.0000 0.1579
0.3806 0.0000 0.4273
0.7220 0.5000 0.6651
0.7472 0.5000 0.3226
0.2954 0.0000 0.8382
0.5023 0.5000 0.8393
0.5381 0.5000 0.4884
0.5550 0.5000 0.1431
0.7415 0.5000 0.9926
```

Principal peaks in the range 2θ from 15° to 90°, sorted by position:
2θ/deg  d [Å]  I (rel.)
21.06  4.219  48
22.43  3.963  9
30.34  2.946  17
39.54  2.279  47
41.01  2.201  44
41.13  2.195  100
66.47  1.407  19
68.53  1.369  28
73.73  1.285  14
77.35  1.234  8